Entry 1:
Computed powder diffraction line list
Compound: LaB4Os4
Radiation: Cu Kα, 1.54184 Å
Structure: a crystal structure in the Materials Project, relaxed with GGA-PBE
Lines closer than 0.1° are merged.

Most intense lines, 10 to 90 degrees two-theta, low angle first:
| 2θ/deg | I_rel |
| --- | --- |
| 16.37 | 37.7 |
| 27.69 | 20.2 |
| 34.45 | 100.0 |
| 37.13 | 58.9 |
| 40.20 | 32.1 |
| 43.67 | 17.6 |
| 46.87 | 29.0 |
| 48.51 | 26.8 |
| 68.94 | 17.8 |
| 78.63 | 17.2 |

Atomic structure:
Lattice parameters (Å, degrees): 7.658 7.658 4.007 90.00 90.00 90.00
Space group P4_2/n (No. 86, origin choice 2)
Inequivalent atoms, fractional coordinates:
La: 0.250 0.250 0.250 (multiplicity 2)
B: 0.032 0.585 0.140 (multiplicity 8)
Os: 0.104 0.856 0.140 (multiplicity 8)

---

Entry 2:
Computed powder diffraction line list
Compound: Ho8In3Co
Radiation: Cu Kα, 1.54184 Å
Structure: a crystal structure in the Materials Project, relaxed with GGA-PBE
Lines closer than 0.1° are merged.

Most intense lines, 10 to 90 degrees two-theta, low angle first:
| 2θ/deg | I_rel |
| --- | --- |
| 29.42 | 30.3 |
| 31.08 | 17.1 |
| 32.70 | 100.0 |
| 34.78 | 79.9 |
| 48.48 | 21.1 |
| 52.87 | 13.0 |
| 60.04 | 9.1 |
| 60.36 | 12.0 |
| 61.03 | 9.4 |
| 64.82 | 15.7 |

Atomic structure:
Lattice parameters (Å, degrees): 10.3187 10.3187 6.9327 90.00 90.00 120.00
Space group P6_3mc (No. 186)
Inequivalent atoms, fractional coordinates:
Ho: 0.0000 0.0000 0.2828 (multiplicity 2)
Ho: 0.0689 0.5345 0.2916 (multiplicity 6)
Ho: 0.1787 0.3573 0.0000 (multiplicity 6)
Ho: 0.3333 0.6667 0.6823 (multiplicity 2)
In: 0.1626 0.3253 0.5362 (multiplicity 6)
Co: 0.3333 0.6667 0.0717 (multiplicity 2)

---

Entry 3:
Computed powder diffraction line list
Compound: Gd5CuBi3
Radiation: Cu Kα, 1.54184 Å
Structure: a crystal structure in the Materials Project, relaxed with GGA-PBE
Lines closer than 0.1° are merged.

Most intense lines, 10 to 90 degrees two-theta, low angle first:
| 2θ/deg | I_rel |
| --- | --- |
| 27.35 | 20.2 |
| 28.89 | 13.2 |
| 32.05 | 97.7 |
| 32.86 | 74.6 |
| 33.40 | 100.0 |
| 42.18 | 22.9 |
| 47.55 | 24.9 |
| 51.39 | 26.4 |
| 63.65 | 14.9 |
| 66.87 | 19.5 |

Atomic structure:
Lattice parameters (Å, degrees): 9.4429 9.4429 6.5210 90.00 90.00 120.00
Space group P6_3/mcm (No. 193)
Inequivalent atoms, fractional coordinates:
Gd: 0.0000 0.2536 0.2500 (multiplicity 6)
Gd: 0.3333 0.6667 0.0000 (multiplicity 4)
Cu: 0.0000 0.0000 0.0000 (multiplicity 2)
Bi: 0.0000 0.3864 0.7500 (multiplicity 6)

---

Entry 4:
Computed powder diffraction line list
Compound: EuPH5CO7
Radiation: Cu Kα, 1.54184 Å
Structure: a crystal structure in the Materials Project, relaxed with GGA-PBE
Lines closer than 0.1° are merged.

Most intense lines, 10 to 90 degrees two-theta, low angle first:
| 2θ/deg | I_rel |
| --- | --- |
| 12.08 | 100.0 |
| 13.30 | 33.8 |
| 18.50 | 13.7 |
| 19.07 | 33.7 |
| 24.29 | 23.0 |
| 25.24 | 20.7 |
| 27.04 | 20.0 |
| 29.05 | 17.2 |
| 29.79 | 27.9 |
| 32.67 | 11.0 |

Atomic structure:
Lattice parameters (Å, degrees): 6.705 7.086 7.923 111.32 96.30 90.16
Space group P-1 (No. 2)
Inequivalent atoms, fractional coordinates:
Eu: 0.131 0.222 0.437 (multiplicity 2)
P: 0.325 0.750 0.482 (multiplicity 2)
H: 0.165 0.521 0.827 (multiplicity 2)
H: 0.281 0.332 0.857 (multiplicity 2)
H: 0.372 0.713 0.304 (multiplicity 2)
H: 0.481 0.259 0.106 (multiplicity 2)
H: 0.488 0.884 0.090 (multiplicity 2)
C: 0.060 0.907 0.002 (multiplicity 2)
O: 0.054 0.757 0.853 (multiplicity 2)
O: 0.154 0.922 0.153 (multiplicity 2)
O: 0.183 0.574 0.474 (multiplicity 2)
O: 0.200 0.942 0.540 (multiplicity 2)
O: 0.217 0.385 0.766 (multiplicity 2)
O: 0.413 0.201 0.981 (multiplicity 2)
O: 0.477 0.224 0.394 (multiplicity 2)

---

Entry 5:
Computed powder diffraction line list
Compound: Cs4PbO3
Radiation: Cu Kα, 1.54184 Å
Structure: a crystal structure in the Materials Project, relaxed with GGA-PBE
Lines closer than 0.1° are merged.

Most intense lines, 10 to 90 degrees two-theta, low angle first:
| 2θ/deg | I_rel |
| --- | --- |
| 25.05 | 13.0 |
| 26.15 | 57.4 |
| 26.30 | 100.0 |
| 27.19 | 93.2 |
| 32.07 | 28.9 |
| 32.53 | 47.2 |
| 41.79 | 12.0 |
| 42.40 | 12.3 |
| 43.38 | 13.7 |
| 46.93 | 18.4 |

Atomic structure:
Lattice parameters (Å, degrees): 11.932 7.494 12.110 90.00 111.27 90.00
Space group P2_1 (No. 4)
Inequivalent atoms, fractional coordinates:
Cs: 0.033 0.000 0.423 (multiplicity 2)
Cs: 0.040 0.255 0.937 (multiplicity 2)
Cs: 0.154 0.725 0.879 (multiplicity 2)
Cs: 0.175 0.429 0.329 (multiplicity 2)
Cs: 0.340 0.665 0.663 (multiplicity 2)
Cs: 0.360 0.392 0.125 (multiplicity 2)
Cs: 0.447 0.172 0.577 (multiplicity 2)
Cs: 0.462 0.876 0.086 (multiplicity 2)
Pb: 0.224 0.175 0.734 (multiplicity 2)
Pb: 0.254 0.928 0.274 (multiplicity 2)
O: 0.100 0.115 0.185 (multiplicity 2)
O: 0.210 0.301 0.561 (multiplicity 2)
O: 0.231 0.737 0.129 (multiplicity 2)
O: 0.263 0.411 0.849 (multiplicity 2)
O: 0.400 0.043 0.787 (multiplicity 2)
O: 0.418 0.077 0.290 (multiplicity 2)

---

Entry 6:
Computed powder diffraction line list
Compound: NdCo2B2
Radiation: Cu Kα, 1.54184 Å
Structure: a crystal structure in the Materials Project, relaxed with GGA-PBE
Lines closer than 0.1° are merged.

Most intense lines, 10 to 90 degrees two-theta, low angle first:
| 2θ/deg | I_rel |
| --- | --- |
| 26.43 | 79.7 |
| 36.06 | 32.7 |
| 36.90 | 46.7 |
| 39.91 | 100.0 |
| 50.96 | 28.1 |
| 58.31 | 18.3 |
| 64.01 | 23.4 |
| 64.56 | 17.5 |
| 67.43 | 23.2 |
| 88.46 | 19.3 |

Atomic structure:
Lattice parameters (Å, degrees): 3.584 3.584 9.963 90.00 90.00 90.00
Space group I4/mmm (No. 139)
Inequivalent atoms, fractional coordinates:
Nd: 0.000 0.000 0.000 (multiplicity 2)
Co: 0.000 0.500 0.250 (multiplicity 4)
B: 0.000 0.000 0.337 (multiplicity 4)

---

Entry 7:
Computed powder diffraction line list
Compound: MgSO3
Radiation: Cu Kα, 1.54184 Å
Structure: a crystal structure in the Materials Project, relaxed with GGA-PBE
Lines closer than 0.1° are merged.

Most intense lines, 10 to 90 degrees two-theta, low angle first:
| 2θ/deg | I_rel |
| --- | --- |
| 24.49 | 71.0 |
| 26.17 | 55.6 |
| 27.16 | 100.0 |
| 27.43 | 14.6 |
| 33.62 | 16.3 |
| 34.34 | 56.9 |
| 37.06 | 26.8 |
| 41.52 | 47.8 |
| 50.20 | 13.7 |
| 53.85 | 21.7 |

Atomic structure:
Lattice parameters (Å, degrees): 4.355 8.768 6.510 90.00 92.66 90.00
Space group P2_1/c (No. 14)
Inequivalent atoms, fractional coordinates:
Mg: 0.236 0.224 0.475 (multiplicity 4)
S: 0.256 0.574 0.286 (multiplicity 4)
O: 0.090 0.116 0.193 (multiplicity 4)
O: 0.251 0.101 0.750 (multiplicity 4)
O: 0.315 0.645 0.075 (multiplicity 4)

---

Entry 8:
Computed powder diffraction line list
Compound: ErNi5
Radiation: Cu Kα, 1.54184 Å
Structure: a crystal structure in the Materials Project, relaxed with GGA-PBE
Lines closer than 0.1° are merged.

Most intense lines, 10 to 90 degrees two-theta, low angle first:
| 2θ/deg | I_rel |
| --- | --- |
| 31.11 | 54.2 |
| 37.15 | 32.9 |
| 43.17 | 35.3 |
| 43.87 | 100.0 |
| 45.93 | 26.8 |
| 60.50 | 15.6 |
| 64.86 | 20.3 |
| 71.64 | 22.3 |
| 79.16 | 15.0 |
| 83.58 | 15.8 |

Atomic structure:
Lattice parameters (Å, degrees): 4.8398 4.8398 3.9513 90.00 90.00 120.00
Space group P6/mmm (No. 191)
Inequivalent atoms, fractional coordinates:
Er: 0.0000 0.0000 0.0000 (multiplicity 1)
Ni: 0.0000 0.5000 0.5000 (multiplicity 3)
Ni: 0.3333 0.6667 0.0000 (multiplicity 2)